# Rb2TlHg9
Simulated PXRD pattern, copper Kα. Input: a cell relaxed with PBE.
Intensities are scaled so that the largest is 100.

Crystal structure
```
data_Rb2TlHg9
_chemical_formula_sum 'Rb4 Tl2 Hg18'
_cell_length_a 6.7585
_cell_length_b 6.7585
_cell_length_c 19.4897
_cell_angle_alpha 90.00
_cell_angle_beta 90.00
_cell_angle_gamma 120.00
_symmetry_space_group_name_H-M 'P 63/m m c'
_symmetry_Int_Tables_number 194
_symmetry_space_group_name_Hall '-P 6c 2c'
loop_
_atom_site_label
_atom_site_fract_x
_atom_site_fract_y
_atom_site_fract_z
_atom_site_occupancy
Rb1 0.3333 0.6667 0.0444 1
Tl1 0.3333 0.6667 0.2500 1
Hg1 0.0000 0.0000 0.0000 1
Hg2 0.0000 0.0000 0.2500 1
Hg3 0.1715 0.3430 0.6244 1
Hg4 0.3333 0.6667 0.7500 1
```

Principal peaks in the range 10 to 90 degrees two-theta, in order of rising 2θ:
| 2θ (°) | d [Å] | I (rel.) | h k l |
| --- | --- | --- | --- |
| 30.90 | 2.894 | 41 | 2 0 1 |
| 32.24 | 2.777 | 100 | 1 1 4 |
| 33.59 | 2.668 | 40 | 2 0 3 |
| 35.77 | 2.510 | 35 | 2 0 4 |
| 36.90 | 2.436 | 26 | 0 0 8 |
| 50.38 | 1.811 | 29 | 3 0 4 |
| 54.30 | 1.689 | 38 | 2 2 0 |
| 67.46 | 1.388 | 27 | 2 2 8 |